No. 1
# Al14Ni
Simulated powder XRD pattern, a wavelength of 1.5418 Å. Input: a GGA-PBE-relaxed structure.
Neutral-atom scattering factors, no anomalous dispersion.

The 12 most intense peaks (10 to 90 degrees two-theta), by angle:
2θ (°)  I/Imax
12.92  247
19.55  219
34.92  243
38.29  628
39.45  371
39.71  388
40.83  537
42.28  1000
43.35  396
46.10  260
67.07  162
67.68  236

Structural model:
Lattice parameters (Å, degrees): 9.6912 9.6912 5.1387 90.00 90.00 90.00
Sites, in units of the cell vectors:
1 Al 0.0435 0.3673 0.0000
2 Al 0.0652 0.2570 0.5000
3 Al 0.0962 0.0962 0.0000
4 Al 0.1327 0.5435 0.5000
5 Al 0.1760 0.8240 0.2489
6 Al 0.1760 0.8240 0.7511
7 Al 0.2430 0.5652 0.0000
8 Al 0.2570 0.0652 0.5000
9 Al 0.3240 0.3240 0.2511
10 Al 0.3240 0.3240 0.7489
11 Al 0.3673 0.0435 0.0000
12 Al 0.4038 0.5962 0.5000
13 Al 0.4348 0.7570 0.0000
14 Al 0.4565 0.8673 0.5000
15 Al 0.5435 0.1327 0.5000
16 Al 0.5652 0.2430 0.0000
17 Al 0.5962 0.4038 0.5000
18 Al 0.6327 0.9565 0.0000
19 Al 0.6760 0.6760 0.2511
20 Al 0.6760 0.6760 0.7489
21 Al 0.7430 0.9348 0.5000
22 Al 0.7570 0.4348 0.0000
23 Al 0.8240 0.1760 0.2489
24 Al 0.8240 0.1760 0.7511
25 Al 0.8673 0.4565 0.5000
26 Al 0.9038 0.9038 0.0000
27 Al 0.9348 0.7430 0.5000
28 Al 0.9565 0.6327 0.0000
29 Ni 0.0000 0.0000 0.5000
30 Ni 0.5000 0.5000 0.0000

No. 2
# Be4Au
Simulated powder XRD pattern, a wavelength of 1.5418 Å. Input: a GGA-PBE-relaxed structure.
Neutral-atom scattering factors, no anomalous dispersion.

The 12 most intense peaks (10 to 90 degrees two-theta), by angle:
2θ (°)  I/Imax
24.12  1000
25.46  473
31.08  276
31.63  498
33.79  175
37.41  159
38.77  369
45.80  265
46.56  173
49.40  182
51.28  261
55.94  213

Structural model:
Lattice parameters (Å, degrees): 6.0413 6.0413 4.8073 90.00 90.00 144.61
Sites, in units of the cell vectors:
1 Be 0.0000 0.0000 0.0000
2 Be 0.0000 0.0000 0.5000
3 Be 0.1947 0.8053 0.5182
4 Be 0.1947 0.8053 0.9818
5 Be 0.3976 0.6024 0.2500
6 Be 0.6024 0.3976 0.7500
7 Be 0.8053 0.1947 0.0182
8 Be 0.8053 0.1947 0.4818
9 Au 0.3811 0.6189 0.7500
10 Au 0.6189 0.3811 0.2500

No. 3
# ZnIn2Cu5
Simulated powder XRD pattern, a wavelength of 1.5418 Å. Input: a GGA-PBE-relaxed structure.
Neutral-atom scattering factors, no anomalous dispersion.

The 10 most intense peaks (10 to 90 degrees two-theta), by angle:
2θ (°)  I/Imax
25.15  52
29.12  29
41.64  1000
49.27  25
51.62  8
60.36  157
66.44  10
68.40  11
76.01  305
81.54  8

Structural model:
Lattice parameters (Å, degrees): 4.3371 4.3371 6.1350 90.00 90.00 90.00
Sites, in units of the cell vectors:
1 Zn 0.0000 0.0000 0.0000
2 In 0.0000 0.0000 0.5000
3 In 0.5000 0.5000 0.0000
4 Cu 0.0000 0.5000 0.2509
5 Cu 0.0000 0.5000 0.7491
6 Cu 0.5000 0.0000 0.2509
7 Cu 0.5000 0.0000 0.7491
8 Cu 0.5000 0.5000 0.5000

No. 4
# ReAgAs
Simulated powder XRD pattern, a wavelength of 1.5418 Å. Input: a GGA-PBE-relaxed structure.
Neutral-atom scattering factors, no anomalous dispersion.

The 10 most intense peaks (10 to 90 degrees two-theta), by angle:
2θ (°)  I/Imax
25.91  201
30.01  456
42.95  1000
50.85  101
53.28  121
62.37  163
68.70  43
70.75  154
78.71  334
84.54  33

Structural model:
Lattice parameters (Å, degrees): 5.9555 5.9555 5.9555 90.00 90.00 90.00
Sites, in units of the cell vectors:
1 Re 0.0000 0.0000 0.0000
2 Re 0.0000 0.5000 0.5000
3 Re 0.5000 0.0000 0.5000
4 Re 0.5000 0.5000 0.0000
5 Ag 0.0000 0.0000 0.5000
6 Ag 0.0000 0.5000 0.0000
7 Ag 0.5000 0.0000 0.0000
8 Ag 0.5000 0.5000 0.5000
9 As 0.2500 0.2500 0.7500
10 As 0.2500 0.7500 0.2500
11 As 0.7500 0.2500 0.2500
12 As 0.7500 0.7500 0.7500

No. 5
# Dy3Lu4Ni2Te2
Simulated powder XRD pattern, a wavelength of 1.5418 Å. Input: a GGA-PBE-relaxed structure.
Neutral-atom scattering factors, no anomalous dispersion.

The 12 most intense peaks (10 to 90 degrees two-theta), by angle:
2θ (°)  I/Imax
25.18  159
29.20  196
30.66  714
33.39  794
34.48  1000
34.94  510
35.06  230
37.00  208
38.88  156
47.69  284
51.85  263
59.46  306

Structural model:
Lattice parameters (Å, degrees): 9.2158 9.2158 9.2158 156.12 67.17 118.27
Sites, in units of the cell vectors:
1 Dy 0.0000 0.0000 0.0000
2 Dy 0.3095 0.6240 0.6855
3 Dy 0.9384 0.6240 0.3145
4 Lu 0.2843 0.4188 0.8655
5 Lu 0.5533 0.4188 0.1345
6 Lu 0.6250 0.2714 0.3536
7 Lu 0.9178 0.2714 0.6464
8 Ni 0.1663 0.9294 0.2369
9 Ni 0.6926 0.9294 0.7631
10 Te 0.2694 0.7694 0.5000
11 Te 0.6608 0.6608 0.0000

No. 6
# Lu4ZnC3
Simulated powder XRD pattern, a wavelength of 1.5418 Å. Input: a GGA-PBE-relaxed structure.
Neutral-atom scattering factors, no anomalous dispersion.

The 12 most intense peaks (10 to 90 degrees two-theta), by angle:
2θ (°)  I/Imax
29.62  148
30.22  317
31.19  181
32.50  453
34.16  1000
36.03  803
51.55  167
52.18  434
63.88  478
64.66  174
86.95  155
88.02  170

Structural model:
Lattice parameters (Å, degrees): 3.5056 3.5056 26.2049 90.00 90.00 120.00
Sites, in units of the cell vectors:
1 Lu 0.0000 0.0000 0.1567
2 Lu 0.0000 0.0000 0.3433
3 Lu 0.0000 0.0000 0.6567
4 Lu 0.0000 0.0000 0.8433
5 Lu 0.3333 0.6667 0.0537
6 Lu 0.3333 0.6667 0.4463
7 Lu 0.6667 0.3333 0.5537
8 Lu 0.6667 0.3333 0.9463
9 Zn 0.3333 0.6667 0.2500
10 Zn 0.6667 0.3333 0.7500
11 C 0.0000 0.0000 0.0000
12 C 0.0000 0.0000 0.5000
13 C 0.3333 0.6667 0.6146
14 C 0.3333 0.6667 0.8854
15 C 0.6667 0.3333 0.1146
16 C 0.6667 0.3333 0.3854

No. 7
# Nd3HoSi4
Simulated powder XRD pattern, a wavelength of 1.5418 Å. Input: a GGA-PBE-relaxed structure.
Neutral-atom scattering factors, no anomalous dispersion.

The 12 most intense peaks (10 to 90 degrees two-theta), by angle:
2θ (°)  I/Imax
21.77  256
27.41  388
29.55  1000
31.68  732
32.37  413
32.51  406
35.34  231
36.30  241
36.49  237
46.44  242
50.43  208
57.79  315

Structural model:
Lattice parameters (Å, degrees): 5.8647 3.9105 8.1652 90.00 90.39 90.00
Sites, in units of the cell vectors:
1 Nd 0.0000 0.0000 0.0000
2 Nd 0.2287 0.5000 0.3595
3 Nd 0.5007 0.5000 0.8576
4 Ho 0.7291 0.0000 0.4994
5 Si 0.2365 0.0000 0.6410
6 Si 0.4929 0.0000 0.1468
7 Si 0.7380 0.5000 0.2216
8 Si 0.9861 0.5000 0.7103

No. 8
# Dy2Y2ErLu2Ni2Te2
Simulated powder XRD pattern, a wavelength of 1.5418 Å. Input: a GGA-PBE-relaxed structure.
Neutral-atom scattering factors, no anomalous dispersion.

The 12 most intense peaks (10 to 90 degrees two-theta), by angle:
2θ (°)  I/Imax
25.08  217
28.73  158
30.34  270
30.53  487
33.15  758
34.26  1000
34.74  843
36.81  185
38.66  198
47.51  323
51.45  225
59.17  346

Structural model:
Lattice parameters (Å, degrees): 9.2896 9.2896 9.2896 156.23 67.01 118.39
Sites, in units of the cell vectors:
1 Dy 0.1845 0.0000 0.1845
2 Dy 0.8155 0.0000 0.8155
3 Y 0.5022 0.6486 0.8537
4 Y 0.7949 0.6486 0.1463
5 Er 0.8805 0.3805 0.5000
6 Lu 0.1662 0.7982 0.3680
7 Lu 0.4302 0.7982 0.6320
8 Ni 0.0478 0.3086 0.7392
9 Ni 0.5694 0.3086 0.2608
10 Te 0.1454 0.1454 0.0000
11 Te 0.5436 0.0436 0.5000

No. 9
# Ba2ThS6
Simulated powder XRD pattern, a wavelength of 1.5418 Å. Input: a GGA-PBE-relaxed structure.
Neutral-atom scattering factors, no anomalous dispersion.

The 12 most intense peaks (10 to 90 degrees two-theta), by angle:
2θ (°)  I/Imax
10.95  346
22.73  942
23.05  1000
32.08  519
32.37  579
33.27  209
40.11  863
40.68  226
46.22  274
47.10  188
52.45  176
63.00  313

Structural model:
Lattice parameters (Å, degrees): 5.5316 5.5316 16.1562 90.00 90.00 90.00
Sites, in units of the cell vectors:
1 Ba 0.2500 0.7500 0.1136
2 Ba 0.2500 0.7500 0.3864
3 Ba 0.7500 0.2500 0.6136
4 Ba 0.7500 0.2500 0.8864
5 Th 0.2500 0.7500 0.7500
6 Th 0.7500 0.2500 0.2500
7 S 0.0608 0.7500 0.5831
8 S 0.2500 0.2500 0.2245
9 S 0.2500 0.2500 0.7245
10 S 0.2500 0.5608 0.9169
11 S 0.2500 0.9392 0.9169
12 S 0.4392 0.7500 0.5831
13 S 0.5608 0.2500 0.4169
14 S 0.7500 0.0608 0.0831
15 S 0.7500 0.4392 0.0831
16 S 0.7500 0.7500 0.2755
17 S 0.7500 0.7500 0.7755
18 S 0.9392 0.2500 0.4169

No. 10
# Cu2Ag
Simulated powder XRD pattern, a wavelength of 1.5418 Å. Input: a GGA-PBE-relaxed structure.
Neutral-atom scattering factors, no anomalous dispersion.

The 12 most intense peaks (10 to 90 degrees two-theta), by angle:
2θ (°)  I/Imax
23.60  33
31.10  16
33.02  28
34.24  19
40.99  1000
47.40  319
48.28  153
69.28  93
69.98  184
83.77  215
85.08  107
88.90  97

Structural model:
Lattice parameters (Å, degrees): 3.8371 11.5042 3.7702 90.00 90.00 90.00
Sites, in units of the cell vectors:
1 Cu 0.0000 0.0000 0.0000
2 Cu 0.0000 0.1588 0.5000
3 Cu 0.0000 0.5000 0.5000
4 Cu 0.0000 0.8412 0.5000
5 Cu 0.5000 0.0000 0.5000
6 Cu 0.5000 0.3412 0.5000
7 Cu 0.5000 0.5000 0.0000
8 Cu 0.5000 0.6588 0.5000
9 Ag 0.0000 0.3375 0.0000
10 Ag 0.0000 0.6626 0.0000
11 Ag 0.5000 0.1626 0.0000
12 Ag 0.5000 0.8374 0.0000

No. 11
# NbI2BrO
Simulated powder XRD pattern, a wavelength of 1.5418 Å. Input: a GGA-PBE-relaxed structure.
Neutral-atom scattering factors, no anomalous dispersion.

The 12 most intense peaks (10 to 90 degrees two-theta), by angle:
2θ (°)  I/Imax
12.21  552
23.41  1000
23.57  813
28.18  959
28.55  848
29.51  598
30.66  538
38.75  248
42.16  498
42.67  551
45.49  334
54.37  264

Structural model:
Lattice parameters (Å, degrees): 7.5353 7.5353 12.7125 119.41 119.41 30.69
Sites, in units of the cell vectors:
1 Nb 0.1288 0.1288 0.1992
2 Nb 0.8712 0.8712 0.8008
3 I 0.0440 0.1629 0.9553
4 I 0.0540 0.1582 0.3946
5 I 0.8371 0.9560 0.0447
6 I 0.8418 0.9460 0.6054
7 Br 0.2712 0.3761 0.2858
8 Br 0.6239 0.7288 0.7142
9 O 0.3353 0.4213 0.8103
10 O 0.5787 0.6647 0.1897

No. 12
# DyTmGa4Ir2
Simulated powder XRD pattern, a wavelength of 1.5418 Å. Input: a GGA-PBE-relaxed structure.
Neutral-atom scattering factors, no anomalous dispersion.

The 12 most intense peaks (10 to 90 degrees two-theta), by angle:
2θ (°)  I/Imax
22.38  167
26.60  328
35.04  849
36.48  1000
38.25  473
41.78  439
43.56  368
46.65  187
53.67  168
57.92  286
68.89  152
72.81  165

Structural model:
Lattice parameters (Å, degrees): 6.7016 4.3240 10.0528 90.00 90.00 90.00
Sites, in units of the cell vectors:
1 Dy 0.0000 0.0000 0.0000
2 Dy 0.0000 0.5000 0.5000
3 Tm 0.5000 0.0000 0.8306
4 Tm 0.5000 0.5000 0.3306
5 Ga 0.1967 0.0000 0.2825
6 Ga 0.1967 0.5000 0.7825
7 Ga 0.3050 0.0000 0.5495
8 Ga 0.3050 0.5000 0.0495
9 Ga 0.6950 0.0000 0.5495
10 Ga 0.6950 0.5000 0.0495
11 Ga 0.8033 0.0000 0.2825
12 Ga 0.8033 0.5000 0.7825
13 Ir 0.0000 0.0000 0.7128
14 Ir 0.0000 0.5000 0.2128
15 Ir 0.5000 0.0000 0.1190
16 Ir 0.5000 0.5000 0.6190

No. 13
# Pr2Dy2CI2Br2Cl
Simulated powder XRD pattern, a wavelength of 1.5418 Å. Input: a GGA-PBE-relaxed structure.
Neutral-atom scattering factors, no anomalous dispersion.

The 12 most intense peaks (10 to 90 degrees two-theta), by angle:
2θ (°)  I/Imax
11.02  508
23.39  214
29.21  540
30.64  181
31.66  1000
32.70  227
33.58  273
33.64  219
37.03  182
43.62  572
46.73  201
56.07  168

Structural model:
Lattice parameters (Å, degrees): 9.6026 9.6026 8.2297 102.52 102.52 23.36
Sites, in units of the cell vectors:
1 Pr 0.1392 0.1392 0.0755
2 Pr 0.8608 0.8608 0.9245
3 Dy 0.4996 0.4996 0.2033
4 Dy 0.5004 0.5004 0.7967
5 C 0.0000 0.0000 0.0000
6 I 0.3323 0.3323 0.2074
7 I 0.6677 0.6677 0.7926
8 Br 0.3466 0.3466 0.6470
9 Br 0.6534 0.6534 0.3530
10 Cl 0.0000 0.0000 0.5000